SiH9C4F3: theoretical X-ray diffraction stick pattern (Cu Ka), based on a cell relaxed with PBE.

a b c (Å): 6.811 10.318 6.910
angles (deg): 90.00 103.21 90.00
Sites, in units of the cell vectors:
Si 0.193 0.250 0.277
Si 0.807 0.750 0.723
H 0.092 0.750 0.017
H 0.157 0.663 0.818
H 0.157 0.837 0.818
H 0.252 0.012 0.268
H 0.252 0.488 0.268
H 0.333 0.093 0.073
H 0.333 0.407 0.073
H 0.485 0.099 0.319
H 0.485 0.401 0.319
H 0.515 0.599 0.681
H 0.515 0.901 0.681
H 0.667 0.593 0.927
H 0.667 0.907 0.927
H 0.748 0.512 0.732
H 0.748 0.988 0.732
H 0.843 0.163 0.182
H 0.843 0.337 0.182
H 0.908 0.250 0.983
C 0.079 0.750 0.855
C 0.199 0.250 0.561
C 0.328 0.099 0.231
C 0.328 0.401 0.231
C 0.672 0.599 0.769
C 0.672 0.901 0.769
C 0.801 0.750 0.439
C 0.921 0.250 0.145
F 0.105 0.143 0.621
F 0.105 0.357 0.621
F 0.393 0.250 0.679
F 0.607 0.750 0.321
F 0.895 0.643 0.379
F 0.895 0.857 0.379

Peak list (8 most intense, 2θ from 15° to 90°, by angle)
Position (°2θ)  I_rel
15.89  100
17.19  37
18.61  23
27.90  15
28.23  12
30.86  16
33.89  9
44.65  9